Structure and theoretical X-ray powder pattern of LaThCu2 (the PBE geometry in Alexandria; Cu Kα, 1.54184 Å).
Peak positions follow from Bragg's law for the DFT cell and can differ from measured ones.

Peak list (8 most intense, 2θ = 15–90°, in order of rising 2θ)
h k l  d/Å  intensity
0 1 1  3.473  91
0 0 2  2.882  48
1 1 0  2.789  97
1 1 -1  2.774  100
1 0 1  2.727  57
1 0 -2  2.684  55
0 1 2  2.403  56
0 2 0  2.176  52

Structural model:
Cell lengths 3.809, 4.353, 6.042 Å; angles 90.00, 107.46, 90.00 degrees
Space group Pm (No. 6)
Unique sites:
La  0.000  0.000  0.000 x1
Th  0.714  0.500  0.419 x1
Cu  0.287  0.000  0.567 x1
Cu  0.415  0.500  0.825 x1